Starting from a cell relaxed with GGA-PBE, the powder XRD pattern of PmEuGa was computed for Cu Kα, 1.54184 Å.

Structural model:
a b c (Å): 6.966 6.966 6.966
angles (deg): 148.77 148.77 44.74
Element x y z (fractional)
Pm (0.000, 0.000, 0.000)
Eu (0.273, 0.273, 0.000)
Ga (0.626, 0.626, 0.000)

Main lines, sorted by position (15 to 90 degrees two-theta):
| two_theta | intensity |
| --- | --- |
| 24.73 | 268 |
| 27.70 | 158 |
| 31.68 | 1000 |
| 33.81 | 556 |
| 42.57 | 161 |
| 44.25 | 179 |
| 48.56 | 200 |
| 55.63 | 96 |
| 56.82 | 86 |
| 59.15 | 333 |
| 68.13 | 105 |
| 81.11 | 89 |